Entry 1:
The following is a calculated powder diffractogram of NaNbO3. It was derived from DFT lattice parameters and positions (PBE), using Cu Kα, 1.54184 Å.

Structural model:
```
20
Lattice="2.8456 -2.8691 0.0000 2.8456 2.8691 0.0000 0.0000 0.0000 15.9568" Properties=species:S:1:pos:R:3 pbc="T T T"
Na 0.0000 0.0000 0.0000
Na 0.0000 0.0000 7.9784
Na 2.8456 2.6036 11.9676
Na 2.8456 -2.6036 3.9892
Nb 2.8456 0.1451 1.9971
Nb 2.8456 0.1451 5.9813
Nb 2.8456 -0.1451 9.9755
Nb 2.8456 -0.1451 13.9597
O 1.4023 1.3902 1.9951
O 1.4023 1.3902 5.9833
O 2.8456 0.0810 11.9676
O 1.4023 -1.3902 9.9735
O 1.4023 -1.3902 13.9617
O 2.8456 0.0000 0.0000
O 2.8456 0.0000 7.9784
O 4.2889 1.3902 1.9951
O 4.2889 1.3902 5.9833
O 2.8456 -0.0810 3.9892
O 4.2889 -1.3902 9.9735
O 4.2889 -1.3902 13.9617
```

Main lines, in order of falling intensity (15° ≤ 2θ ≤ 90°):
2θ 31.5, intensity 1000; 2θ 22.0, intensity 762; 2θ 22.3, intensity 375; 2θ 44.9, intensity 359; 2θ 50.7, intensity 218; 2θ 65.8, intensity 202; 2θ 45.5, intensity 187; 2θ 31.2, intensity 184; 2θ 56.0, intensity 156; 2θ 51.1, intensity 142; 2θ 55.7, intensity 121; 2θ 56.3, intensity 79



Entry 2:
The following is a calculated powder diffractogram of DyFe6Sn6. It was derived from DFT lattice parameters and positions (PBE), using Cu Kα, 1.54184 Å.

Structural model:
```
26
Lattice="4.4754 -9.3544 0.0000 4.4754 9.3544 0.0000 0.0000 0.0000 5.4121" Properties=species:S:1:pos:R:3 pbc="T T T"
Dy 4.4754 6.9754 4.0591
Dy 4.4754 -6.9754 1.3530
Fe 2.2377 4.6772 0.0000
Fe 2.2377 4.6772 2.7061
Fe 2.2112 2.3441 4.0591
Fe 2.2032 0.0000 0.0000
Fe 2.2032 0.0000 2.7061
Fe 2.2112 -2.3441 1.3530
Fe 2.2377 -4.6772 0.0000
Fe 2.2377 -4.6772 2.7061
Fe 6.7396 2.3441 4.0591
Fe 6.7477 0.0000 0.0000
Fe 6.7477 0.0000 2.7061
Fe 6.7396 -2.3441 1.3530
Sn 4.4754 8.5477 1.3530
Sn 4.4754 5.4015 1.3530
Sn 3.0190 2.3265 1.3530
Sn 4.4754 3.8488 4.0591
Sn 4.4754 0.7881 4.0591
Sn 3.0190 -2.3265 4.0591
Sn 5.9319 2.3265 1.3530
Sn 4.4754 -0.7881 1.3530
Sn 4.4754 -3.8488 1.3530
Sn 5.9319 -2.3265 4.0591
Sn 4.4754 -5.4015 4.0591
Sn 4.4754 -8.5477 4.0591
```

Main lines, in order of falling intensity (15° ≤ 2θ ≤ 90°):
2θ 33.1, intensity 1000; 2θ 38.9, intensity 933; 2θ 43.6, intensity 470; 2θ 72.3, intensity 369; 2θ 38.5, intensity 298; 2θ 40.3, intensity 243; 2θ 69.6, intensity 200; 2θ 44.9, intensity 172; 2θ 34.7, intensity 166; 2θ 63.1, intensity 151; 2θ 37.3, intensity 142; 2θ 53.1, intensity 139



Entry 3:
The following is a calculated powder diffractogram of FeC3N3. It was derived from DFT lattice parameters and positions (PBE), using Cu Kα, 1.54184 Å.

Structural model:
```
14
Lattice="0.0000 4.9470 4.9470 4.9470 0.0000 4.9470 4.9470 4.9470 0.0000" Properties=species:S:1:pos:R:3 pbc="T T T"
Fe 0.0000 0.0000 0.0000
Fe 4.9470 4.9470 4.9470
C 4.9470 4.9470 1.8925
C 4.9470 1.8925 4.9470
C 8.0016 4.9470 4.9470
C 1.8925 4.9470 4.9470
C 4.9470 8.0016 4.9470
C 4.9470 4.9470 8.0016
N 4.9470 4.9470 3.0630
N 4.9470 3.0630 4.9470
N 6.8311 4.9470 4.9470
N 3.0630 4.9470 4.9470
N 4.9470 6.8311 4.9470
N 4.9470 4.9470 6.8311
```

Main lines, in order of falling intensity (15° ≤ 2θ ≤ 90°):
2θ 17.9, intensity 1000; 2θ 40.8, intensity 229; 2θ 36.3, intensity 212; 2θ 25.5, intensity 204; 2θ 55.7, intensity 102; 2θ 59.0, intensity 91; 2θ 52.3, intensity 81; 2θ 68.4, intensity 80; 2θ 71.3, intensity 57; 2θ 80.0, intensity 45; 2θ 44.9, intensity 31; 2θ 82.8, intensity 28



Entry 4:
The following is a calculated powder diffractogram of Li7BiB2O8. It was derived from DFT lattice parameters and positions (PBE), using Cu Kα, 1.54184 Å.

Structural model:
```
36
Lattice="7.3762 -3.2008 0.0000 7.3762 3.2008 0.0000 -0.1290 0.0000 7.5375" Properties=species:S:1:pos:R:3 pbc="T T T"
Li 0.0000 0.0000 0.0000
Li 4.6862 1.5976 0.9487
Li 2.0898 0.0000 1.1329
Li 6.2712 1.6399 4.7539
Li 8.3523 1.6399 2.7836
Li 6.2276 0.0000 2.0858
Li 9.9373 1.5976 6.5887
Li 7.3762 0.0000 0.0000
Li 4.6862 -1.5976 0.9487
Li 8.3959 0.0000 5.4517
Li 6.2712 -1.6399 4.7539
Li 8.3523 -1.6399 2.7836
Li 12.5337 0.0000 6.4046
Li 9.9373 -1.5976 6.5887
Bi 3.3928 0.0000 4.2533
Bi 11.2307 0.0000 3.2842
B 0.9770 0.0000 5.5364
B 5.2378 0.0000 6.3700
B 9.3857 0.0000 1.1675
B 13.6465 0.0000 2.0010
O 0.3185 0.0000 1.9574
O 5.6585 1.9525 2.8054
O 4.4056 1.2464 5.8226
O 1.6228 0.0000 6.8447
O 8.9650 1.9525 4.7321
O 5.4201 0.0000 0.2696
O 6.5378 0.0000 5.7004
O 4.4056 -1.2464 5.8226
O 10.2179 1.2464 1.7149
O 8.0857 0.0000 1.8371
O 9.2034 0.0000 7.2679
O 5.6585 -1.9525 2.8054
O 13.0007 0.0000 0.6928
O 10.2179 -1.2464 1.7149
O 8.9650 -1.9525 4.7321
O 14.3050 0.0000 5.5801
```

Main lines, in order of falling intensity (15° ≤ 2θ ≤ 90°):
2θ 32.8, intensity 1000; 2θ 17.0, intensity 998; 2θ 19.1, intensity 878; 2θ 39.0, intensity 772; 2θ 16.7, intensity 719; 2θ 26.7, intensity 691; 2θ 39.3, intensity 570; 2θ 27.9, intensity 504; 2θ 32.7, intensity 449; 2θ 28.0, intensity 419; 2θ 27.1, intensity 377; 2θ 38.7, intensity 357



Entry 5:
The following is a calculated powder diffractogram of LaPrNi10. It was derived from DFT lattice parameters and positions (PBE), using Cu Kα, 1.54184 Å.

Structural model:
```
12
Lattice="3.9442 0.0000 0.0000 0.0000 4.9958 0.0000 0.0000 0.0000 8.6264" Properties=species:S:1:pos:R:3 pbc="T T T"
La 0.0000 0.0000 0.0000
Pr 0.0000 2.4979 4.3132
Ni 0.0000 0.0000 2.8708
Ni 0.0000 0.0000 5.7556
Ni 0.0000 2.4979 1.4360
Ni 0.0000 2.4979 7.1904
Ni 1.9721 0.0000 4.3132
Ni 1.9721 1.2518 2.1657
Ni 1.9721 1.2518 6.4608
Ni 1.9721 2.4979 0.0000
Ni 1.9721 3.7440 2.1657
Ni 1.9721 3.7440 6.4608
```

Main lines, in order of falling intensity (15° ≤ 2θ ≤ 90°):
2θ 42.9, intensity 1000; 2θ 30.7, intensity 437; 2θ 36.0, intensity 307; 2θ 46.0, intensity 260; 2θ 41.8, intensity 233; 2θ 63.9, intensity 190; 2θ 83.0, intensity 170; 2θ 69.4, intensity 149; 2θ 59.8, intensity 137; 2θ 41.9, intensity 116; 2θ 76.4, intensity 106; 2θ 48.0, intensity 89